This entry pairs a crystal structure of Li4Ti2Nb3Ni3O16 with its simulated X-ray diffraction stick pattern. Radiation: Cu Kα, 1.54184 Å. Structure: a cell relaxed with PBE+U.
Intensities are scaled so that the largest is 1000.

Structure:
```
data_Li4Ti2Nb3Ni3O16
_symmetry_space_group_name_H-M 'C 1 m 1'
_symmetry_Int_Tables_number 8
_symmetry_space_group_name_Hall 'C -2y'
_cell_length_a 10.517
_cell_length_b 5.982
_cell_length_c 9.789
_cell_angle_alpha 90.00
_cell_angle_beta 90.93
_cell_angle_gamma 90.00
loop_
_atom_site_label
_atom_site_fract_x
_atom_site_fract_y
_atom_site_fract_z
Li1 0.000 0.000 0.000
Li2 0.007 0.000 0.517
Li3 0.157 0.500 0.096
Li4 0.326 0.000 0.606
Ti1 0.133 0.500 0.519
Ti2 0.322 0.000 0.993
Nb1 0.314 0.500 0.774
Nb2 0.400 0.249 0.283
Ni1 0.076 0.255 0.793
Ni2 0.162 0.000 0.293
O1 0.013 0.500 0.650
O2 0.070 0.256 0.407
O3 0.165 0.000 0.911
O4 0.169 0.500 0.899
O5 0.236 0.279 0.652
O6 0.257 0.226 0.159
O7 0.327 0.500 0.406
O8 0.328 0.000 0.406
O9 0.401 0.246 0.907
O10 0.477 0.000 0.159
O11 0.488 0.500 0.701
O12 0.498 0.500 0.187
```

The 6 most intense peaks (15 to 90 degrees two-theta), sorted by position:
| index | d_spacing | Rel. int. |
| --- | --- | --- |
| 0 0 2 | 4.894 | 1000 |
| 1 1 -1 | 4.606 | 463 |
| 0 2 2 | 2.554 | 293 |
| 2 2 -1 | 2.518 | 279 |
| 2 2 1 | 2.508 | 317 |
| 2 2 -3 | 2.041 | 285 |

=====

This entry pairs a crystal structure of Ca2SbWO6 with its simulated X-ray diffraction stick pattern. Radiation: Cu Kα, 1.54184 Å. Structure: a cell relaxed with PBE+U.
Intensities are scaled so that the largest is 1000.

Structure:
```
data_Ca2SbWO6
_symmetry_space_group_name_H-M 'P 1 21/m 1'
_symmetry_Int_Tables_number 11
_symmetry_space_group_name_Hall '-P 2yb'
_cell_length_a 5.709
_cell_length_b 8.111
_cell_length_c 5.902
_cell_angle_alpha 90.00
_cell_angle_beta 91.45
_cell_angle_gamma 90.00
loop_
_atom_site_label
_atom_site_fract_x
_atom_site_fract_y
_atom_site_fract_z
Ca1 0.001 0.250 0.051
Ca2 0.486 0.750 0.441
Sb1 0.000 0.000 0.500
W1 0.500 0.000 0.000
O1 0.125 0.250 0.443
O2 0.206 0.558 0.174
O3 0.344 0.556 0.711
O4 0.396 0.250 0.955
```

The 6 most intense peaks (15 to 90 degrees two-theta), sorted by position:
| index | d_spacing | Rel. int. |
| --- | --- | --- |
| 1 0 -1 | 4.155 | 507 |
| 1 0 1 | 4.053 | 1000 |
| 0 0 2 | 2.950 | 475 |
| 1 2 -1 | 2.902 | 954 |
| 1 2 1 | 2.866 | 900 |
| 0 4 0 | 2.027 | 455 |

=====

This entry pairs a crystal structure of LiTiCrO4 with its simulated X-ray diffraction stick pattern. Radiation: Cu Kα, 1.54184 Å. Structure: a cell relaxed with PBE+U.
Intensities are scaled so that the largest is 1000.

Structure:
```
data_LiTiCrO4
_symmetry_space_group_name_H-M 'I m m a'
_symmetry_Int_Tables_number 74
_symmetry_space_group_name_Hall '-I 2b 2'
_cell_length_a 5.972
_cell_length_b 5.981
_cell_length_c 8.400
_cell_angle_alpha 90.00
_cell_angle_beta 90.00
_cell_angle_gamma 90.00
loop_
_atom_site_label
_atom_site_fract_x
_atom_site_fract_y
_atom_site_fract_z
Li1 0.000 0.250 0.122
Ti1 0.250 0.250 0.750
Cr1 0.000 0.000 0.500
O1 0.000 0.028 0.742
O2 0.228 0.250 0.517
```

The 6 most intense peaks (15 to 90 degrees two-theta), sorted by position:
| index | d_spacing | Rel. int. |
| --- | --- | --- |
| 1 0 1 | 4.870 | 1000 |
| 1 2 1 | 2.547 | 307 |
| 1 0 3 | 2.535 | 154 |
| 2 2 0 | 2.113 | 393 |
| 0 0 4 | 2.100 | 192 |
| 2 2 4 | 1.489 | 230 |